Diffraction record for Na6La3NbSi2P4O24. The PXRD pattern is calculated, not measured: it uses the GGA-PBE geometry in the Materials Project and CuKα.

Top 10 peaks for 15 to 90 degrees two-theta, in order of rising 2θ:
hkl 1 1 -1, 18.5 deg, I = 100
hkl 1 0 -2, 18.6 deg, I = 99
hkl -2 1 1, 18.7 deg, I = 40
hkl 2 0 0, 26.3 deg, I = 39
hkl 1 1 1, 29.3 deg, I = 34
hkl 1 -2 2, 29.5 deg, I = 89
hkl 0 3 -1, 32.4 deg, I = 45
hkl 3 0 -2, 32.5 deg, I = 50
hkl -3 3 1, 32.7 deg, I = 38
hkl 4 -2 0, 44.5 deg, I = 34

Structure:
```
Na6La3NbSi2P4O24
1.0
9.4769 0.0000 0.0000
-4.6769 8.3030 0.0000
-4.7034 -2.7359 7.8336
Na La Nb Si P O
6 3 1 2 4 24
direct
0.0000 0.0000 0.0000
0.0027 0.4904 0.4961
0.1663 0.2590 0.7551
0.1928 0.4121 0.2911
0.7971 0.5592 0.6950
0.8206 0.7538 0.2486
0.3006 0.1345 0.4354
0.3036 0.6578 0.9450
0.6917 0.8520 0.5582
0.6875 0.3404 0.0491
0.5039 0.4415 0.2421
0.5053 0.5426 0.7471
0.1523 0.7126 0.2290
0.2003 0.9619 0.7528
0.8038 0.2480 0.7707
0.8080 0.0692 0.2548
0.0633 0.9809 0.7829
0.1132 0.8507 0.2386
0.1453 0.6778 0.0685
0.1653 0.9879 0.5831
0.1672 0.7871 0.7522
0.3314 0.5423 0.7437
0.3375 0.2673 0.2395
0.3461 0.7478 0.3892
0.3977 0.4938 0.0796
0.4036 0.4012 0.5719
0.4238 0.1161 0.9031
0.6053 0.1863 0.6047
0.6066 0.4677 0.9108
0.6168 0.9045 0.1095
0.6520 0.4087 0.2170
0.6537 0.6089 0.4186
0.6901 0.7226 0.7730
0.7971 0.2975 0.9248
0.8066 0.2303 0.2250
0.8334 0.0575 0.4274
0.8429 0.1077 0.7862
0.9623 0.4071 0.7641
0.9785 0.0883 0.2511
0.9811 0.5467 0.2235
```